1.
Calculated powder XRD pattern of Nd3Sb2As for CuKα, from a structure optimized by DFT (PBE).

Structural model:
```
data_Nd3Sb2As
_cell_length_a 4.424
_cell_length_b 6.292
_cell_length_c 13.365
_cell_angle_alpha 90.00
_cell_angle_beta 90.00
_cell_angle_gamma 90.00
_space_group_name_H-M_alt 'I m m m'
_space_group_IT_number 71
_space_group_name_Hall '-I 2 2'
loop_
_atom_site_label
_atom_site_type_symbol
_atom_site_fract_x
_atom_site_fract_y
_atom_site_fract_z
Nd1 Nd 0.000 0.000 0.000
Nd2 Nd 0.000 0.000 0.343
Sb1 Sb 0.000 0.500 0.330
As1 As 0.000 0.500 0.000
```

Principal peaks in the range 10° ≤ 2θ ≤ 90°, most intense first:
d/Å  2θ/deg  Rel. int.  (hkl)
3.142  28.41  100  0 2 0
2.222  40.60  51  1 2 3
1.405  66.53  23  1 4 3
1.810  50.43  14  2 2 0
1.818  50.18  13  0 2 6
2.212  40.79  13  2 0 0
2.228  40.50  12  0 0 6
1.285  73.73  12  0 4 6

2.
Calculated powder XRD pattern of V2Pd6Au3 for CuKα, from a structure optimized by DFT (PBE).

Structural model:
```
data_V2Pd6Au3
_cell_length_a 8.453
_cell_length_b 4.877
_cell_length_c 17.791
_cell_angle_alpha 90.00
_cell_angle_beta 90.08
_cell_angle_gamma 90.00
_space_group_name_H-M_alt 'C 1 2/c 1'
_space_group_IT_number 15
_space_group_name_Hall '-C 2yc'
loop_
_atom_site_label
_atom_site_type_symbol
_atom_site_fract_x
_atom_site_fract_y
_atom_site_fract_z
V1 V 0.167 0.000 0.000
Pd1 Pd 0.000 0.171 0.111
Pd2 Pd 0.164 0.336 0.611
Pd3 Pd 0.165 0.336 0.889
Au1 Au 0.000 0.167 0.750
Au2 Au 0.167 0.332 0.250
```

Principal peaks in the range 10° ≤ 2θ ≤ 90°, most intense first:
d/Å  2θ/deg  Rel. int.  (hkl)
2.256  39.97  100  3 1 3
2.012  45.06  35  3 1 5
2.965  30.14  24  0 0 6
2.224  40.57  22  0 0 8
1.348  69.77  22  3 1 11
1.408  66.38  20  6 0 0
1.884  48.31  18  0 2 6
2.439  36.85  17  0 2 0